Record 1
Structure and computed XRD peak list of Pm3MnC3 (a PBE-relaxed structure; Cu Kα (λ = 1.5418 Å)).
No peak broadening, texture or thermal motion is included.

Structure:
abc: 8.6512 10.5700 5.3024
angles: 90.00 90.00 90.00
Space group Cmcm (No. 63)
Symmetry-distinct sites (fractional):
Pm 0.0000 0.1085 0.2500
Pm 0.2077 0.3786 0.2500
Mn 0.0000 0.2999 0.7500
C 0.0000 0.1266 0.7500
C 0.1904 0.3687 0.7500

Most intense lines, 10° ≤ 2θ ≤ 90°, by angle:
two_theta, d (Å), I/Imax, (hkl)
31.61, 2.831, 100, 2 2 1
32.19, 2.780, 47, 3 1 0
33.81, 2.651, 36, 0 0 2
33.92, 2.643, 25, 0 4 0
47.37, 1.919, 14, 3 1 2
48.65, 1.872, 18, 0 4 2
54.80, 1.675, 14, 4 0 2
59.11, 1.563, 17, 2 2 3
62.29, 1.491, 12, 5 3 1
65.03, 1.434, 12, 3 5 2



Record 2
Structure and computed XRD peak list of Pm2Mn17C2 (a PBE-relaxed structure; Cu Kα (λ = 1.5418 Å)).
No peak broadening, texture or thermal motion is included.

Structure:
abc: 9.5989 8.7013 6.4535
angles: 90.00 98.23 90.00
Space group C2/m (No. 12)
Symmetry-distinct sites (fractional):
Pm 0.1450 0.0000 0.3476
Mn 0.0000 0.2280 0.0000
Mn 0.0000 0.5000 0.5000
Mn 0.0950 0.5000 0.9017
Mn 0.1000 0.2657 0.6628
Mn 0.1436 0.3615 0.2807
Mn 0.1528 0.0000 0.8742
Mn 0.2500 0.2500 0.0000
C 0.2500 0.2500 0.5000

Most intense lines, 10° ≤ 2θ ≤ 90°, by angle:
two_theta, d (Å), I/Imax, (hkl)
30.00, 2.979, 64, 1 1 -2
31.42, 2.847, 28, 2 0 -2
35.83, 2.506, 42, 1 3 1
37.78, 2.381, 44, 2 2 -2
41.51, 2.175, 43, 0 4 0
41.79, 2.161, 81, 2 2 2
42.25, 2.139, 100, 3 3 0
42.46, 2.129, 52, 0 0 3
43.43, 2.084, 30, 4 2 0
44.14, 2.052, 47, 4 0 -2



Record 3
Structure and computed XRD peak list of PmMn2SiC (a PBE-relaxed structure; Cu Kα (λ = 1.5418 Å)).
No peak broadening, texture or thermal motion is included.

Structure:
abc: 3.8187 10.6537 7.0560
angles: 90.00 90.00 90.00
Space group Cmcm (No. 63)
Symmetry-distinct sites (fractional):
Pm 0.0000 0.0459 0.2500
Mn 0.0000 0.3319 0.0630
Si 0.0000 0.2334 0.7500
C 0.0000 0.5000 0.0000

Most intense lines, 10° ≤ 2θ ≤ 90°, by angle:
two_theta, d (Å), I/Imax, (hkl)
24.77, 3.595, 20, 1 1 0
30.39, 2.941, 32, 0 2 2
34.49, 2.601, 52, 1 3 0
35.66, 2.518, 100, 1 1 2
36.04, 2.492, 44, 0 4 1
36.84, 2.440, 47, 1 3 1
41.99, 2.152, 22, 0 2 3
47.63, 1.909, 25, 2 0 0
52.46, 1.744, 19, 1 3 3
63.78, 1.459, 23, 1 5 3



Record 4
Structure and computed XRD peak list of Pu3MnC3 (a PBE-relaxed structure; Cu Kα (λ = 1.5418 Å)).
No peak broadening, texture or thermal motion is included.

Structure:
abc: 6.2747 5.1599 6.4812
angles: 90.00 98.76 90.00
Space group P2_1/m (No. 11)
Symmetry-distinct sites (fractional):
Pu 0.0666 0.2500 0.3287
Pu 0.3165 0.7500 0.0777
Pu 0.3708 0.7500 0.6257
Mn 0.1948 0.2500 0.8029
C 0.0843 0.7500 0.3368
C 0.3288 0.2500 0.0768
C 0.3864 0.2500 0.6164

Most intense lines, 10° ≤ 2θ ≤ 90°, by angle:
two_theta, d (Å), I/Imax, (hkl)
22.12, 4.018, 25, 0 1 1
22.41, 3.966, 32, 1 1 0
32.92, 2.721, 100, 0 1 2
33.39, 2.684, 23, 1 0 2
33.72, 2.658, 82, 2 1 0
33.99, 2.638, 23, 2 0 1
34.78, 2.579, 90, 0 2 0
37.16, 2.420, 47, 2 0 -2
51.80, 1.765, 37, 2 2 -2
61.16, 1.515, 18, 0 3 2



Record 5
Structure and computed XRD peak list of Pu2MnC4 (a PBE-relaxed structure; Cu Kα (λ = 1.5418 Å)).
No peak broadening, texture or thermal motion is included.

Structure:
abc: 7.5397 9.6000 5.0408
angles: 90.00 90.00 90.00
Space group Ibam (No. 72)
Symmetry-distinct sites (fractional):
Pu 0.1586 0.1477 0.0000
Mn 0.0000 0.5000 0.2500
C 0.1535 0.1215 0.5000
C 0.1700 0.4214 0.0000

Most intense lines, 10° ≤ 2θ ≤ 90°, by angle:
two_theta, d (Å), I/Imax, (hkl)
28.27, 3.157, 100, 1 2 1
30.34, 2.946, 34, 1 3 0
31.05, 2.880, 77, 2 1 1
35.62, 2.520, 25, 0 0 2
36.97, 2.431, 23, 3 1 0
38.82, 2.320, 16, 1 1 2
45.91, 1.977, 18, 3 3 0
52.68, 1.737, 30, 0 4 2
56.83, 1.620, 21, 2 5 1
59.43, 1.555, 28, 3 3 2



Record 6
Structure and computed XRD peak list of PuMn2Si2C (a PBE-relaxed structure; Cu Kα (λ = 1.5418 Å)).
No peak broadening, texture or thermal motion is included.

Structure:
abc: 3.8767 3.8767 5.2263
angles: 90.00 90.00 90.00
Space group P4/mmm (No. 123)
Symmetry-distinct sites (fractional):
Pu 0.0000 0.0000 0.0000
Mn 0.0000 0.5000 0.5000
Si 0.5000 0.5000 0.2261
C 0.0000 0.0000 0.5000

Most intense lines, 10° ≤ 2θ ≤ 90°, by angle:
two_theta, d (Å), I/Imax, (hkl)
22.94, 3.877, 48, 1 0 0
28.67, 3.114, 75, 1 0 1
32.67, 2.741, 21, 1 1 0
34.32, 2.613, 24, 0 0 2
37.03, 2.428, 100, 1 1 1
41.68, 2.167, 54, 1 0 2
46.87, 1.938, 36, 2 0 0
55.87, 1.646, 25, 2 1 1
64.50, 1.445, 30, 2 1 2
80.47, 1.194, 21, 3 1 1